# 1
This entry pairs a crystal structure of TbY2Ni6B6C3 with its theoretical X-ray diffraction stick pattern. Radiation: Cu Kα. Structure: DFT lattice parameters and positions (PBE).
Lines closer than 0.1° are merged.

Top 10 peaks for 2θ from 10° to 80°, by intensity:
d/Å	2θ (°)	Rel. int.
2.261	39.9	100
3.359	26.5	39
2.612	34.3	35
2.485	36.1	29
1.774	51.5	26
1.430	65.2	24
1.467	63.4	22
1.444	64.6	10
1.568	58.9	9
1.800	50.7	9

a = 15.8716 Å, b = 15.8716 Å, c = 15.8716 Å
α = 167.17°, β = 167.17°, γ = 18.19°
Sites, in units of the cell vectors:
Tb1 0.0000 0.0000 0.0000
Y1 0.3333 0.3333 0.0000
Y2 0.6667 0.6667 0.0000
Ni1 0.0833 0.5833 0.5000
Ni2 0.2500 0.7500 0.5000
Ni3 0.4167 0.9167 0.5000
Ni4 0.5833 0.0833 0.5000
Ni5 0.7500 0.2500 0.5000
Ni6 0.9167 0.4167 0.5000
B1 0.1189 0.1189 0.0000
B2 0.2144 0.2144 0.0000
B3 0.4523 0.4523 0.0000
B4 0.5477 0.5477 0.0000
B5 0.7856 0.7856 0.0000
B6 0.8811 0.8811 0.0000
C1 0.1667 0.1667 0.0000
C2 0.5000 0.5000 0.0000
C3 0.8333 0.8333 0.0000

=====

# 2
This entry pairs a crystal structure of Y3Ni4B4C3 with its theoretical X-ray diffraction stick pattern. Radiation: Cu Kα. Structure: DFT lattice parameters and positions (PBE).
Lines closer than 0.1° are merged.

Top 10 peaks for 2θ from 10° to 80°, by intensity:
d/Å	2θ (°)	Rel. int.
2.352	38.3	100
2.172	41.6	76
2.535	35.4	68
3.298	27.0	62
2.547	35.2	54
1.791	51.0	53
1.463	63.6	43
1.473	63.1	27
1.465	63.5	19
1.266	75.0	16

a = 12.9281 Å, b = 12.9281 Å, c = 12.9281 Å
α = 164.08°, β = 164.08°, γ = 22.59°
Sites, in units of the cell vectors:
Y1 0.0000 0.0000 0.0000
Y2 0.2993 0.2993 0.0000
Y3 0.7007 0.7007 0.0000
Ni1 0.1007 0.6007 0.5000
Ni2 0.3993 0.8993 0.5000
Ni3 0.6007 0.1007 0.5000
Ni4 0.8993 0.3993 0.5000
B1 0.1444 0.1444 0.0000
B2 0.4409 0.4409 0.0000
B3 0.5591 0.5591 0.0000
B4 0.8556 0.8556 0.0000
C1 0.2034 0.2034 0.0000
C2 0.5000 0.5000 0.0000
C3 0.7966 0.7966 0.0000

=====

# 3
This entry pairs a crystal structure of YNi2B2C with its theoretical X-ray diffraction stick pattern. Radiation: Cu Kα. Structure: DFT lattice parameters and positions (PBE).
Lines closer than 0.1° are merged.

Top 10 peaks for 2θ from 10° to 80°, by intensity:
d/Å	2θ (°)	Rel. int.
2.259	39.9	100
2.593	34.6	34
3.358	26.5	27
1.774	51.5	26
1.424	65.6	23
2.476	36.3	23
1.464	63.5	21
1.442	64.6	8
1.255	75.8	8
1.791	51.0	7

a = 5.7614 Å, b = 5.7614 Å, c = 5.7614 Å
α = 144.13°, β = 144.13°, γ = 51.64°
Sites, in units of the cell vectors:
Y1 0.0000 0.0000 0.0000
Ni1 0.2500 0.7500 0.5000
Ni2 0.7500 0.2500 0.5000
B1 0.3561 0.3561 0.0000
B2 0.6439 0.6439 0.0000
C1 0.5000 0.5000 0.0000

=====

# 4
This entry pairs a crystal structure of YNiBC with its theoretical X-ray diffraction stick pattern. Radiation: Cu Kα. Structure: DFT lattice parameters and positions (PBE).
Lines closer than 0.1° are merged.

Top 10 peaks for 2θ from 10° to 80°, by intensity:
d/Å	2θ (°)	Rel. int.
2.406	37.4	100
2.106	42.9	70
3.242	27.5	69
2.600	34.5	60
2.515	35.7	57
1.795	50.9	47
1.461	63.7	39
1.514	61.2	27
1.477	62.9	20
1.570	58.8	18

a = 3.5901 Å, b = 3.5901 Å, c = 7.5436 Å
α = 90.00°, β = 90.00°, γ = 90.00°
Sites, in units of the cell vectors:
Y1 0.2500 0.2500 0.1652
Y2 0.7500 0.7500 0.8348
Ni1 0.2500 0.7500 0.5000
Ni2 0.7500 0.2500 0.5000
B1 0.2500 0.2500 0.6437
B2 0.7500 0.7500 0.3563
C1 0.2500 0.2500 0.8419
C2 0.7500 0.7500 0.1581

=====

# 5
This entry pairs a crystal structure of NpB2C with its theoretical X-ray diffraction stick pattern. Radiation: Cu Kα. Structure: DFT lattice parameters and positions (PBE).
Lines closer than 0.1° are merged.

Top 10 peaks for 2θ from 10° to 80°, by intensity:
d/Å	2θ (°)	Rel. int.
2.408	37.3	100
3.272	27.3	98
1.669	55.0	31
3.556	25.0	29
1.889	48.2	25
1.486	62.5	19
1.636	56.2	16
1.562	59.1	15
1.237	77.1	12
1.295	73.1	9

a = 5.1885 Å, b = 5.1885 Å, c = 5.1885 Å
α = 78.20°, β = 78.20°, γ = 78.20°
Sites, in units of the cell vectors:
Np1 0.0000 0.0000 0.0000
Np2 0.3111 0.3111 0.3111
Np3 0.6889 0.6889 0.6889
B1 0.2285 0.5000 0.7715
B2 0.2285 0.7715 0.5000
B3 0.5000 0.2285 0.7715
B4 0.5000 0.7715 0.2285
B5 0.7715 0.2285 0.5000
B6 0.7715 0.5000 0.2285
C1 0.0000 0.0000 0.5000
C2 0.0000 0.5000 0.0000
C3 0.5000 0.0000 0.0000